Simulated XRD peak list of ErTl6 for a wavelength of 1.5418 Å, from a PBE-relaxed structure.
Peak positions follow from Bragg's law for the DFT cell and can differ from measured ones.

Peak list (10 most intense, 2θ = 15–90°, in order of rising 2θ)
| 2θ (°) | intensity | index |
| --- | --- | --- |
| 21.14 | 411 | 2 0 0 |
| 25.96 | 1000 | 2 1 1 |
| 37.04 | 445 | 2 2 2 |
| 40.13 | 641 | 3 2 1 |
| 43.04 | 385 | 4 0 0 |
| 48.42 | 189 | 4 2 0 |
| 60.30 | 197 | 5 2 1 |
| 62.50 | 259 | 4 4 0 |
| 68.85 | 200 | 6 1 1 |
| 74.93 | 178 | 6 2 2 |

Crystal structure
Cell: 8.407 8.407 8.407 Å, 90.00 90.00 90.00°
Space group Im-3m (No. 229)
Asymmetric unit:
1 Er 0.000 0.000 0.000
2 Tl 0.000 0.250 0.500



Simulated XRD peak list of Tb2SnSb4 for a wavelength of 1.5418 Å, from a PBE-relaxed structure.
Peak positions follow from Bragg's law for the DFT cell and can differ from measured ones.

Peak list (10 most intense, 2θ = 15–90°, in order of rising 2θ)
| 2θ (°) | intensity | index |
| --- | --- | --- |
| 26.03 | 288 | 1 0 2 |
| 31.63 | 200 | 0 0 4 |
| 33.46 | 1000 | 1 1 2 |
| 38.09 | 270 | 1 0 4 |
| 42.03 | 329 | 2 0 0 |
| 53.05 | 107 | 1 0 6 |
| 53.54 | 158 | 2 0 4 |
| 58.01 | 151 | 2 1 4 |
| 60.94 | 109 | 2 2 0 |
| 71.34 | 222 | 3 1 2 |

Crystal structure
Cell: 4.300 4.300 11.308 Å, 90.00 90.00 90.00°
Space group P-4m2 (No. 115)
Asymmetric unit:
1 Tb 0.000 0.500 0.214
2 Sn 0.000 0.000 0.500
3 Sb 0.000 0.000 0.000
4 Sb 0.000 0.500 0.693
5 Sb 0.500 0.500 0.000



Simulated XRD peak list of Na7Hg4Bi for a wavelength of 1.5418 Å, from a PBE-relaxed structure.
Peak positions follow from Bragg's law for the DFT cell and can differ from measured ones.

Peak list (10 most intense, 2θ = 15–90°, in order of rising 2θ)
| 2θ (°) | intensity | index |
| --- | --- | --- |
| 20.12 | 1000 | 0 1 1 |
| 27.41 | 225 | 0 1 3 |
| 32.55 | 706 | 1 0 4 |
| 33.26 | 756 | 1 1 0 |
| 39.18 | 193 | 2 0 1 |
| 47.22 | 253 | 0 2 4 |
| 47.46 | 280 | 1 1 5 |
| 52.31 | 171 | 1 2 1 |
| 58.98 | 260 | 2 1 4 |
| 59.43 | 144 | 3 0 0 |

Crystal structure
Cell: 5.3878 5.3878 13.6231 Å, 90.00 90.00 120.00°
Space group P-3m1 (No. 164)
Asymmetric unit:
1 Na 0.0000 0.0000 0.0000
2 Na 0.0000 0.0000 0.2640
3 Na 0.3333 0.6667 0.1341
4 Na 0.3333 0.6667 0.4269
5 Hg 0.3333 0.6667 0.6698
6 Hg 0.3333 0.6667 0.8966
7 Bi 0.0000 0.0000 0.5000



Simulated XRD peak list of PmBeSi2Tc for a wavelength of 1.5418 Å, from a PBE-relaxed structure.
Peak positions follow from Bragg's law for the DFT cell and can differ from measured ones.

Peak list (10 most intense, 2θ = 15–90°, in order of rising 2θ)
| 2θ (°) | intensity | index |
| --- | --- | --- |
| 23.96 | 877 | 1 0 1 |
| 34.10 | 948 | 1 0 3 |
| 36.28 | 1000 | 1 1 2 |
| 45.72 | 377 | 2 0 0 |
| 48.98 | 306 | 1 0 5 |
| 52.27 | 216 | 2 1 1 |
| 58.25 | 476 | 2 1 3 |
| 62.43 | 186 | 1 1 6 |
| 69.24 | 211 | 2 1 5 |
| 78.32 | 209 | 3 1 2 |

Crystal structure
Cell: 3.969 3.969 10.526 Å, 90.00 90.00 90.00°
Space group I-4m2 (No. 119)
Asymmetric unit:
1 Pm 0.000 0.000 0.000
2 Be 0.000 0.500 0.750
3 Si 0.000 0.000 0.379
4 Tc 0.000 0.500 0.250



Simulated XRD peak list of LiAgBiSe2 for a wavelength of 1.5418 Å, from a PBE-relaxed structure.
Peak positions follow from Bragg's law for the DFT cell and can differ from measured ones.

Peak list (10 most intense, 2θ = 15–90°, in order of rising 2θ)
| 2θ (°) | intensity | index |
| --- | --- | --- |
| 21.38 | 393 | 0 1 1 |
| 25.95 | 762 | 1 0 -2 |
| 27.06 | 1000 | 1 1 1 |
| 32.00 | 371 | 2 1 0 |
| 32.33 | 326 | 2 0 -2 |
| 36.77 | 422 | 1 1 2 |
| 37.01 | 377 | 1 2 0 |
| 37.28 | 334 | 2 1 1 |
| 42.01 | 281 | 1 1 -3 |
| 43.28 | 305 | 3 1 -1 |

Crystal structure
Cell: 6.858 5.221 7.108 Å, 90.00 105.04 90.00°
Space group P2/c (No. 13)
Asymmetric unit:
1 Li 0.000 0.007 0.250
2 Ag 0.000 0.500 0.000
3 Bi 0.500 0.303 0.750
4 Se 0.280 0.175 0.046



Simulated XRD peak list of PrZnO for a wavelength of 1.5418 Å, from a PBE-relaxed structure.
Peak positions follow from Bragg's law for the DFT cell and can differ from measured ones.

Peak list (10 most intense, 2θ = 15–90°, in order of rising 2θ)
| 2θ (°) | intensity | index |
| --- | --- | --- |
| 27.76 | 537 | 1 0 1 |
| 29.19 | 528 | 0 0 3 |
| 32.59 | 1000 | 1 0 2 |
| 37.06 | 827 | 1 1 0 |
| 47.86 | 532 | 1 1 3 |
| 53.42 | 279 | 2 0 0 |
| 56.90 | 341 | 1 0 5 |
| 62.03 | 240 | 2 0 3 |
| 63.99 | 294 | 2 1 2 |
| 81.83 | 233 | 2 1 5 |

Crystal structure
Cell: 3.430 3.430 9.177 Å, 90.00 90.00 90.00°
Space group P4/nmm (No. 129, origin choice 2)
Asymmetric unit:
1 Pr 0.250 0.250 0.166
2 Zn 0.250 0.250 0.551
3 O 0.250 0.250 0.899



Simulated XRD peak list of Nd6Y12In for a wavelength of 1.5418 Å, from a PBE-relaxed structure.
Peak positions follow from Bragg's law for the DFT cell and can differ from measured ones.

Peak list (10 most intense, 2θ = 15–90°, in order of rising 2θ)
| 2θ (°) | intensity | index |
| --- | --- | --- |
| 23.07 | 127 | 2 -1 3 |
| 30.87 | 328 | 0 1 5 |
| 31.34 | 276 | 0 3 3 |
| 31.56 | 1000 | 4 -3 1 |
| 32.91 | 577 | 2 1 4 |
| 33.24 | 364 | 3 1 2 |
| 34.79 | 157 | 4 -2 3 |
| 44.95 | 101 | 3 2 4 |
| 55.10 | 193 | 2 5 0 |
| 58.35 | 124 | 7 -2 3 |

Crystal structure
Cell: 12.0150 12.0150 15.0782 Å, 90.00 90.00 120.00°
Space group R-3 (No. 148, hexagonal axes)
Asymmetric unit:
1 Nd 0.0150 0.5914 0.1840
2 Y 0.0020 0.8284 0.3141
3 Y 0.0465 0.1947 0.9154
4 In 0.0000 0.0000 0.5000



Simulated XRD peak list of TaCo5 for a wavelength of 1.5418 Å, from a PBE-relaxed structure.
Peak positions follow from Bragg's law for the DFT cell and can differ from measured ones.

Peak list (10 most intense, 2θ = 15–90°, in order of rising 2θ)
| 2θ (°) | intensity | index |
| --- | --- | --- |
| 23.34 | 173 | 1 1 1 |
| 27.02 | 154 | 2 0 0 |
| 38.58 | 504 | 2 2 0 |
| 45.58 | 1000 | 3 1 1 |
| 47.73 | 231 | 2 2 2 |
| 61.21 | 47 | 3 3 1 |
| 62.98 | 59 | 4 2 0 |
| 69.81 | 173 | 4 2 2 |
| 74.73 | 293 | 5 1 1 |
| 82.71 | 207 | 4 4 0 |

Crystal structure
Cell: 6.600 6.600 6.600 Å, 90.00 90.00 90.00°
Space group F-43m (No. 216)
Asymmetric unit:
1 Ta 0.000 0.000 0.000
2 Co 0.124 0.124 0.376
3 Co 0.250 0.250 0.750